Starting from a crystal structure in the Materials Project, relaxed with GGA-PBE, the XRD peak list of SrPrAlO4 was simulated for λ = 1.5418 Å (Cu Kα).
Kinematic intensities with the Lorentz-polarization factor, no thermal factor.

Cell lengths 3.7807, 3.7807, 12.5090 Å; angles 90.00, 90.00, 90.00 degrees
Positions (direct):
Sr (0.0000, 0.0000, 0.0000)
Sr (0.5000, 0.5000, 0.5000)
Pr (0.0000, 0.0000, 0.7160)
Pr (0.5000, 0.5000, 0.2160)
Al (0.0000, 0.0000, 0.3610)
Al (0.5000, 0.5000, 0.8610)
O (0.0000, 0.0000, 0.1957)
O (0.0000, 0.0000, 0.5211)
O (0.0000, 0.5000, 0.3510)
O (0.0000, 0.5000, 0.8510)
O (0.5000, 0.0000, 0.3510)
O (0.5000, 0.0000, 0.8510)
O (0.5000, 0.5000, 0.0211)
O (0.5000, 0.5000, 0.6957)

Most intense lines, 2θ from 15° to 90°, most intense first:
hkl 1 0 3, 32.0 deg, intensity 1000
hkl 1 1 0, 33.5 deg, intensity 726
hkl 1 0 1, 24.6 deg, intensity 551
hkl 1 1 4, 44.6 deg, intensity 534
hkl 2 0 0, 48.1 deg, intensity 394
hkl 2 1 3, 58.9 deg, intensity 368
hkl 1 0 7, 57.0 deg, intensity 307
hkl 0 0 6, 43.4 deg, intensity 263
hkl 0 0 4, 28.5 deg, intensity 238
hkl 2 0 6, 66.8 deg, intensity 204



Starting from a crystal structure in the Materials Project, relaxed with GGA-PBE, the XRD peak list of U2S was simulated for λ = 1.5418 Å (Cu Kα).
Kinematic intensities with the Lorentz-polarization factor, no thermal factor.

Cell lengths 6.1653, 6.8960, 8.4621 Å; angles 70.65, 74.24, 73.80 degrees
Positions (direct):
U (0.1442, 0.0866, 0.0055)
U (0.1481, 0.5927, 0.9889)
U (0.8519, 0.4073, 0.0111)
U (0.8558, 0.9134, 0.9945)
S (0.4968, 0.7455, 0.0132)
S (0.5032, 0.2545, 0.9868)

Most intense lines, 2θ from 15° to 90°, most intense first:
hkl 0 0 2, 22.7 deg, intensity 1000
hkl 1 0 0, 15.3 deg, intensity 591
hkl 1 0 1, 17.1 deg, intensity 483
hkl 1 -2 0, 34.8 deg, intensity 430
hkl 0 0 3, 34.4 deg, intensity 349
hkl 2 2 1, 34.6 deg, intensity 347
hkl -1 2 1, 35.2 deg, intensity 326
hkl 2 2 2, 35.7 deg, intensity 310
hkl -1 2 3, 46.1 deg, intensity 291
hkl 1 0 -1, 20.8 deg, intensity 281



Starting from a crystal structure in the Materials Project, relaxed with GGA-PBE, the XRD peak list of ErCdHg2 was simulated for λ = 1.5418 Å (Cu Kα).
Kinematic intensities with the Lorentz-polarization factor, no thermal factor.

Cell lengths 7.1836, 7.1836, 7.1836 Å; angles 90.00, 90.00, 90.00 degrees
Positions (direct):
Er (0.0000, 0.0000, 0.0000)
Er (0.0000, 0.5000, 0.5000)
Er (0.5000, 0.0000, 0.5000)
Er (0.5000, 0.5000, 0.0000)
Cd (0.0000, 0.0000, 0.5000)
Cd (0.0000, 0.5000, 0.0000)
Cd (0.5000, 0.0000, 0.0000)
Cd (0.5000, 0.5000, 0.5000)
Hg (0.2500, 0.2500, 0.2500)
Hg (0.2500, 0.2500, 0.7500)
Hg (0.2500, 0.7500, 0.2500)
Hg (0.2500, 0.7500, 0.7500)
Hg (0.7500, 0.2500, 0.2500)
Hg (0.7500, 0.2500, 0.7500)
Hg (0.7500, 0.7500, 0.2500)
Hg (0.7500, 0.7500, 0.7500)

Most intense lines, 2θ from 15° to 90°, most intense first:
hkl 2 2 0, 35.3 deg, intensity 1000
hkl 4 2 2, 63.4 deg, intensity 368
hkl 4 0 0, 50.8 deg, intensity 179
hkl 6 2 0, 85.5 deg, intensity 167
hkl 4 4 0, 74.8 deg, intensity 115
hkl 2 0 0, 24.8 deg, intensity 36
hkl 4 2 0, 57.4 deg, intensity 18
hkl 2 2 2, 43.6 deg, intensity 12
hkl 1 1 1, 21.4 deg, intensity 12
hkl 6 0 0, 80.2 deg, intensity 10



Starting from a crystal structure in the Materials Project, relaxed with GGA-PBE, the XRD peak list of Hf2ReRu was simulated for λ = 1.5418 Å (Cu Kα).
Kinematic intensities with the Lorentz-polarization factor, no thermal factor.

Cell lengths 6.5214, 6.5214, 6.5214 Å; angles 90.00, 90.00, 90.00 degrees
Positions (direct):
Hf (0.2500, 0.2500, 0.2500)
Hf (0.2500, 0.2500, 0.7500)
Hf (0.2500, 0.7500, 0.2500)
Hf (0.2500, 0.7500, 0.7500)
Hf (0.7500, 0.2500, 0.2500)
Hf (0.7500, 0.2500, 0.7500)
Hf (0.7500, 0.7500, 0.2500)
Hf (0.7500, 0.7500, 0.7500)
Re (0.0000, 0.0000, 0.0000)
Re (0.0000, 0.5000, 0.5000)
Re (0.5000, 0.0000, 0.5000)
Re (0.5000, 0.5000, 0.0000)
Ru (0.0000, 0.0000, 0.5000)
Ru (0.0000, 0.5000, 0.0000)
Ru (0.5000, 0.0000, 0.0000)
Ru (0.5000, 0.5000, 0.5000)

Most intense lines, 2θ from 15° to 90°, most intense first:
hkl 2 2 0, 39.1 deg, intensity 1000
hkl 4 2 2, 70.8 deg, intensity 351
hkl 4 0 0, 56.4 deg, intensity 172
hkl 4 4 0, 83.9 deg, intensity 113
hkl 1 1 1, 23.6 deg, intensity 37
hkl 3 1 1, 46.2 deg, intensity 21
hkl 2 0 0, 27.4 deg, intensity 13
hkl 3 3 1, 62.0 deg, intensity 9
hkl 5 3 1, 88.8 deg, intensity 7
hkl 5 1 1, 75.8 deg, intensity 7



Starting from a crystal structure in the Materials Project, relaxed with GGA-PBE, the XRD peak list of GdSiO3 was simulated for λ = 1.5418 Å (Cu Kα).
Kinematic intensities with the Lorentz-polarization factor, no thermal factor.

Cell lengths 3.7303, 3.7303, 3.7303 Å; angles 90.00, 90.00, 90.00 degrees
Positions (direct):
Gd (0.0000, 0.0000, 0.0000)
Si (0.5000, 0.5000, 0.5000)
O (0.0000, 0.5000, 0.5000)
O (0.5000, 0.0000, 0.5000)
O (0.5000, 0.5000, 0.0000)

Most intense lines, 2θ from 15° to 90°, most intense first:
hkl 1 1 0, 34.0 deg, intensity 1000
hkl 1 0 0, 23.9 deg, intensity 505
hkl 1 1 1, 41.9 deg, intensity 406
hkl 2 1 1, 60.8 deg, intensity 387
hkl 2 0 0, 48.8 deg, intensity 334
hkl 2 1 0, 55.0 deg, intensity 235
hkl 2 2 0, 71.5 deg, intensity 199
hkl 3 1 0, 81.6 deg, intensity 173
hkl 3 1 1, 86.5 deg, intensity 132
hkl 3 0 0, 76.6 deg, intensity 114



Starting from a crystal structure in the Materials Project, relaxed with GGA-PBE, the XRD peak list of BaEuNbSbO6 was simulated for λ = 1.5418 Å (Cu Kα).
Kinematic intensities with the Lorentz-polarization factor, no thermal factor.

Cell lengths 5.9741, 6.0015, 8.4581 Å; angles 90.48, 90.43, 90.27 degrees
Positions (direct):
Ba (0.0042, 0.0274, 0.2504)
Ba (0.9958, 0.9726, 0.7496)
Eu (0.4904, 0.5379, 0.2536)
Eu (0.5096, 0.4621, 0.7464)
Nb (0.0000, 0.5000, 0.0000)
Nb (0.5000, 0.0000, 0.5000)
Sb (0.0000, 0.5000, 0.5000)
Sb (0.5000, 0.0000, 0.0000)
O (0.0940, 0.5014, 0.7672)
O (0.2011, 0.7671, 0.0391)
O (0.2313, 0.7975, 0.4691)
O (0.2683, 0.3013, 0.0517)
O (0.3082, 0.2759, 0.4548)
O (0.4354, 0.0396, 0.7343)
O (0.5646, 0.9604, 0.2657)
O (0.6918, 0.7241, 0.5452)
O (0.7317, 0.6987, 0.9483)
O (0.7687, 0.2025, 0.5309)
O (0.7989, 0.2329, 0.9609)
O (0.9060, 0.4986, 0.2328)

Most intense lines, 2θ from 15° to 90°, most intense first:
hkl 1 -1 2, 29.8 deg, intensity 1000
hkl -1 1 2, 29.9 deg, intensity 664
hkl 0 0 4, 42.8 deg, intensity 358
hkl 1 1 2, 30.1 deg, intensity 324
hkl 2 0 -4, 52.9 deg, intensity 278
hkl 0 2 -4, 52.7 deg, intensity 192
hkl 2 -2 0, 42.6 deg, intensity 165
hkl 3 -1 2, 53.1 deg, intensity 135
hkl 0 2 4, 53.2 deg, intensity 135
hkl 2 -2 4, 61.9 deg, intensity 90



Starting from a crystal structure in the Materials Project, relaxed with GGA-PBE, the XRD peak list of RbTmO2 was simulated for λ = 1.5418 Å (Cu Kα).
Kinematic intensities with the Lorentz-polarization factor, no thermal factor.

Cell lengths 3.4512, 3.4512, 19.6154 Å; angles 90.00, 90.00, 120.00 degrees
Positions (direct):
Rb (0.0000, 0.0000, 0.0000)
Rb (0.3333, 0.6667, 0.6667)
Rb (0.6667, 0.3333, 0.3333)
Tm (0.0000, 0.0000, 0.5000)
Tm (0.3333, 0.6667, 0.1667)
Tm (0.6667, 0.3333, 0.8333)
O (0.0000, 0.0000, 0.2243)
O (0.0000, 0.0000, 0.7757)
O (0.3333, 0.6667, 0.4424)
O (0.3333, 0.6667, 0.8909)
O (0.6667, 0.3333, 0.1091)
O (0.6667, 0.3333, 0.5576)

Most intense lines, 2θ from 15° to 90°, most intense first:
hkl 1 0 4, 35.2 deg, intensity 1000
hkl 0 1 2, 31.3 deg, intensity 851
hkl 0 0 6, 27.3 deg, intensity 452
hkl 0 1 8, 48.0 deg, intensity 361
hkl 1 1 0, 53.1 deg, intensity 311
hkl 1 1 6, 60.7 deg, intensity 298
hkl 1 0 10, 56.1 deg, intensity 215
hkl 0 2 4, 65.3 deg, intensity 157
hkl 1 1 12, 81.0 deg, intensity 139
hkl 2 1 4, 88.9 deg, intensity 139